Diffraction record for Li9Mn2Co5O16. The XRD peak list is computed, not measured: it uses a cell relaxed with GGA+U and copper Kα.
Kinematic intensities with the Lorentz-polarization factor, no thermal factor.

Atomic structure:
Unit cell a=2.987 b=7.806 c=12.530 alpha=89.48 beta=89.87 gamma=81.29
Positions (direct):
Li (0.000, 0.000, 0.000)
Li (0.053, 0.883, 0.680)
Li (0.129, 0.748, 0.375)
Li (0.241, 0.505, 0.742)
Li (0.390, 0.249, 0.124)
Li (0.512, 0.995, 0.506)
Li (0.643, 0.746, 0.866)
Li (0.765, 0.499, 0.250)
Li (0.896, 0.236, 0.622)
Mn (0.191, 0.623, 0.059)
Mn (0.458, 0.116, 0.807)
Co (0.325, 0.375, 0.438)
Co (0.559, 0.876, 0.187)
Co (0.689, 0.633, 0.565)
Co (0.841, 0.370, 0.935)
Co (0.945, 0.125, 0.313)
O (0.021, 0.959, 0.837)
O (0.076, 0.794, 0.531)
O (0.146, 0.693, 0.209)
O (0.204, 0.553, 0.907)
O (0.328, 0.443, 0.583)
O (0.365, 0.310, 0.289)
O (0.456, 0.197, 0.958)
O (0.470, 0.069, 0.664)
O (0.525, 0.942, 0.334)
O (0.553, 0.811, 0.036)
O (0.670, 0.673, 0.702)
O (0.738, 0.556, 0.418)
O (0.827, 0.438, 0.082)
O (0.886, 0.289, 0.790)
O (0.918, 0.189, 0.460)
O (0.975, 0.059, 0.163)

Main lines, low angle first (10 to 90 degrees two-theta):
two_theta, d_spacing, Rel. int., h k l
18.32, 4.843, 100.0, 0 1 -2
34.87, 2.573, 18.4, -1 1 1
36.07, 2.490, 13.3, 1 2 1
36.80, 2.442, 11.2, 0 2 4
37.65, 2.389, 8.2, 1 1 3
41.91, 2.156, 31.6, 1 -2 1
43.69, 2.072, 27.5, 1 3 -1
44.87, 2.020, 24.7, 0 1 6
62.07, 1.495, 7.9, 0 5 -2
62.21, 1.492, 8.0, 2 1 0